For Dy2B6Rh9, a DFT-relaxed cell (PBE, the Materials Project) gives the computed powder XRD pattern in this record (Cu Kα (λ = 1.5418 Å)).
Kinematic intensities with the Lorentz-polarization factor, no thermal factor.

Top 10 peaks for 2θ = 10–90°, low angle first:
hkl, 2θ (°), Rel. int.
1 0 2, 27.73, 21.4
0 0 3, 31.29, 15.1
1 0 3, 36.45, 36.9
2 0 0, 36.96, 100.0
1 1 3, 45.26, 25.4
2 0 3, 49.18, 30.4
2 1 3, 59.81, 17.6
2 2 0, 66.60, 19.2
2 0 6, 77.45, 12.8
4 0 0, 78.68, 10.8

Structure:
```
data_Dy2B6Rh9
_chemical_formula_sum 'Dy2 B6 Rh9'
_symmetry_space_group_name_H-M 'P 6/m m m'
_symmetry_Int_Tables_number 191
_symmetry_space_group_name_Hall '-P 6 2'
_cell_length_a 5.6170
_cell_length_b 5.6170
_cell_length_c 8.5764
_cell_angle_alpha 90.00
_cell_angle_beta 90.00
_cell_angle_gamma 120.00
loop_
_atom_site_label
_atom_site_type_symbol
_atom_site_fract_x
_atom_site_fract_y
_atom_site_fract_z
Dy1 Dy 0.0000 0.0000 0.2068
B1 B 0.3333 0.6667 0.1670
B2 B 0.3333 0.6667 0.5000
Rh1 Rh 0.0000 0.5000 0.0000
Rh2 Rh 0.0000 0.5000 0.3357
```

=====

For DyB4Ru, a DFT-relaxed cell (PBE, the Materials Project) gives the computed powder XRD pattern in this record (Cu Kα (λ = 1.5418 Å)).
Kinematic intensities with the Lorentz-polarization factor, no thermal factor.

Top 10 peaks for 2θ = 10–90°, low angle first:
hkl, 2θ (°), Rel. int.
0 0 1, 25.02, 75.6
0 4 0, 30.99, 83.4
1 4 0, 34.55, 18.0
1 3 1, 37.60, 19.9
2 3 0, 38.19, 19.5
0 4 1, 40.23, 100.0
1 4 1, 43.13, 24.1
2 3 1, 46.21, 27.5
0 0 2, 51.35, 17.4
0 4 2, 61.20, 24.4

Structure:
```
data_DyB4Ru
_chemical_formula_sum 'Dy4 B16 Ru4'
_symmetry_space_group_name_H-M 'P b a m'
_symmetry_Int_Tables_number 55
_symmetry_space_group_name_Hall '-P 2 2ab'
_cell_length_a 5.9638
_cell_length_b 11.5351
_cell_length_c 3.5586
_cell_angle_alpha 90.00
_cell_angle_beta 90.00
_cell_angle_gamma 90.00
loop_
_atom_site_label
_atom_site_type_symbol
_atom_site_fract_x
_atom_site_fract_y
_atom_site_fract_z
Dy1 Dy 0.1289 0.1499 0.0000
B1 B 0.0237 0.6917 0.5000
B2 B 0.1121 0.5468 0.5000
B3 B 0.1360 0.9697 0.5000
B4 B 0.2109 0.8145 0.5000
Ru1 Ru 0.1405 0.4073 0.0000
```

=====

For Dy5Si3B, a DFT-relaxed cell (PBE, the Materials Project) gives the computed powder XRD pattern in this record (Cu Kα (λ = 1.5418 Å)).
Kinematic intensities with the Lorentz-polarization factor, no thermal factor.

Top 10 peaks for 2θ = 10–90°, low angle first:
hkl, 2θ (°), Rel. int.
2 0 0, 24.03, 31.6
1 1 1, 25.12, 46.3
1 0 2, 30.69, 49.9
2 1 0, 31.97, 51.3
2 1 1, 35.04, 100.0
1 1 2, 35.26, 89.0
3 0 0, 36.39, 36.1
2 2 2, 51.57, 29.4
2 1 3, 54.42, 28.4
4 0 2, 57.66, 31.3

Structure:
```
data_Dy5Si3B
_chemical_formula_sum 'Dy10 Si6 B2'
_symmetry_space_group_name_H-M 'P 63/m c m'
_symmetry_Int_Tables_number 193
_symmetry_space_group_name_Hall '-P 6c 2'
_cell_length_a 8.5525
_cell_length_b 8.5525
_cell_length_c 6.3366
_cell_angle_alpha 90.00
_cell_angle_beta 90.00
_cell_angle_gamma 120.00
loop_
_atom_site_label
_atom_site_type_symbol
_atom_site_fract_x
_atom_site_fract_y
_atom_site_fract_z
Dy1 Dy 0.0000 0.2398 0.2500
Dy2 Dy 0.3333 0.6667 0.0000
Si1 Si 0.0000 0.3990 0.7500
B1 B 0.0000 0.0000 0.0000
```

=====

For Dy5Si2B8, a DFT-relaxed cell (PBE, the Materials Project) gives the computed powder XRD pattern in this record (Cu Kα (λ = 1.5418 Å)).
Kinematic intensities with the Lorentz-polarization factor, no thermal factor.

Top 10 peaks for 2θ = 10–90°, low angle first:
hkl, 2θ (°), Rel. int.
0 0 2, 21.97, 21.3
2 1 0, 27.59, 67.1
1 1 2, 28.13, 22.0
2 0 2, 33.24, 100.0
2 2 0, 35.11, 21.1
2 1 2, 35.54, 98.9
3 1 0, 39.41, 34.6
4 1 0, 52.16, 27.0
4 1 2, 57.26, 31.2
3 3 2, 58.80, 24.6

Structure:
```
data_Dy5Si2B8
_chemical_formula_sum 'Dy10 Si4 B16'
_symmetry_space_group_name_H-M 'P 4/m b m'
_symmetry_Int_Tables_number 127
_symmetry_space_group_name_Hall '-P 4 2ab'
_cell_length_a 7.2302
_cell_length_b 7.2302
_cell_length_c 8.0899
_cell_angle_alpha 90.00
_cell_angle_beta 90.00
_cell_angle_gamma 90.00
loop_
_atom_site_label
_atom_site_type_symbol
_atom_site_fract_x
_atom_site_fract_y
_atom_site_fract_z
Dy1 Dy 0.0000 0.0000 0.0000
Dy2 Dy 0.1804 0.3196 0.2758
Si1 Si 0.1149 0.6149 0.0000
B1 B 0.0000 0.0000 0.3375
B2 B 0.0392 0.8274 0.5000
B3 B 0.0899 0.5899 0.5000
```

=====

For DyVB4, a DFT-relaxed cell (PBE, the Materials Project) gives the computed powder XRD pattern in this record (Cu Kα (λ = 1.5418 Å)).
Kinematic intensities with the Lorentz-polarization factor, no thermal factor.

Top 10 peaks for 2θ = 10–90°, low angle first:
hkl, 2θ (°), Rel. int.
1 2 0, 21.27, 31.8
0 0 1, 25.81, 64.0
1 3 0, 27.38, 38.2
2 1 0, 30.75, 83.7
1 2 1, 33.68, 26.9
1 4 0, 34.27, 17.8
1 3 1, 37.97, 52.0
2 1 1, 40.57, 100.0
1 4 1, 43.39, 24.0
2 1 2, 62.59, 22.2

Structure:
```
data_DyVB4
_chemical_formula_sum 'Dy4 V4 B16'
_symmetry_space_group_name_H-M 'P b a m'
_symmetry_Int_Tables_number 55
_symmetry_space_group_name_Hall '-P 2 2ab'
_cell_length_a 6.0060
_cell_length_b 11.6296
_cell_length_c 3.4517
_cell_angle_alpha 90.00
_cell_angle_beta 90.00
_cell_angle_gamma 90.00
loop_
_atom_site_label
_atom_site_type_symbol
_atom_site_fract_x
_atom_site_fract_y
_atom_site_fract_z
Dy1 Dy 0.1244 0.1515 0.0000
V1 V 0.1270 0.4173 0.0000
B1 B 0.0224 0.6923 0.5000
B2 B 0.1145 0.5476 0.5000
B3 B 0.1359 0.9674 0.5000
B4 B 0.2138 0.8145 0.5000
```